Theoretical XRD peak list
Compound: Na2ZnSi3O8
Radiation: copper Kα
Structure: a cell relaxed with PBE

The 8 most intense peaks (10 to 80 degrees two-theta), most intense first:
(1 2 -1), 27.19°, 3.280 Å, I = 100.0; (1 0 1), 22.33°, 3.981 Å, I = 86.6; (1 2 1), 30.70°, 2.913 Å, I = 60.5; (1 0 0), 14.35°, 6.171 Å, I = 35.7; (2 2 0), 35.88°, 2.503 Å, I = 34.6; (0 1 2), 29.81°, 2.997 Å, I = 31.9; (2 1 -2), 36.68°, 2.450 Å, I = 30.9; (1 1 -2), 30.00°, 2.979 Å, I = 30.5

Structural model:
Unit cell a=6.3664 b=8.5510 c=6.6027 alpha=90.00 beta=104.22 gamma=90.00
Space group P2_1 (No. 4)
Asymmetric unit:
1 Na 0.0868 0.0000 0.4632 x2
2 Na 0.3282 0.4346 0.2150 x2
3 Zn 0.4645 0.6249 0.6003 x2
4 Si 0.0850 0.1322 0.9868 x2
5 Si 0.2533 0.8150 0.8913 x2
6 Si 0.3468 0.2974 0.7335 x2
7 O 0.0738 0.9562 0.8823 x2
8 O 0.1213 0.2596 0.8116 x2
9 O 0.1652 0.6586 0.9916 x2
10 O 0.2476 0.1478 0.2108 x2
11 O 0.2794 0.7916 0.6580 x2
12 O 0.2865 0.4368 0.5640 x2
13 O 0.4311 0.1370 0.6546 x2
14 O 0.4829 0.8661 0.0512 x2

Theoretical XRD peak list
Compound: Na2ZrSi2O7
Radiation: copper Kα
Structure: a cell relaxed with PBE

The 8 most intense peaks (10 to 80 degrees two-theta), most intense first:
(1 -1 0), 22.54°, 3.944 Å, I = 100.0; (0 1 3), 30.97°, 2.887 Å, I = 57.8; (0 0 2), 21.33°, 4.165 Å, I = 57.3; (1 2 1), 30.70°, 2.912 Å, I = 56.0; (2 0 0), 33.33°, 2.688 Å, I = 49.9; (1 1 0), 21.03°, 4.224 Å, I = 39.7; (1 -1 2), 33.81°, 2.651 Å, I = 35.9; (0 1 1), 14.88°, 5.955 Å, I = 34.9

Structural model:
Unit cell a=5.3987 b=6.5945 c=8.7672 alpha=71.93 beta=86.57 gamma=85.18
Space group P-1 (No. 2)
Asymmetric unit:
1 Na 0.2335 0.3488 0.0006 x2
2 Na 0.2522 0.1259 0.4059 x2
3 Zr 0.2112 0.7086 0.2302 x2
4 Si 0.2260 0.6504 0.6462 x2
5 Si 0.3282 0.9395 0.8363 x2
6 O 0.0172 0.4315 0.2370 x2
7 O 0.1287 0.1319 0.8434 x2
8 O 0.1381 0.7219 0.4618 x2
9 O 0.2890 0.8870 0.6641 x2
10 O 0.3040 0.7196 0.9860 x2
11 O 0.3829 0.9973 0.1808 x2
12 O 0.4760 0.4959 0.6927 x2

Theoretical XRD peak list
Compound: Na2ZrSi4O11
Radiation: copper Kα
Structure: a cell relaxed with PBE

The 8 most intense peaks (10 to 80 degrees two-theta), most intense first:
(0 2 2), 27.64°, 3.227 Å, I = 100.0; (1 3 1), 30.34°, 2.946 Å, I = 87.4; (3 1 -1), 26.55°, 3.357 Å, I = 63.6; (0 2 0), 17.59°, 5.042 Å, I = 59.1; (2 0 -2), 24.34°, 3.658 Å, I = 54.4; (1 1 1), 16.96°, 5.228 Å, I = 51.1; (4 0 0), 33.10°, 2.706 Å, I = 48.0; (3 1 1), 30.03°, 2.976 Å, I = 44.6

Structural model:
Unit cell a=11.0111 b=10.0841 c=8.5409 alpha=90.00 beta=100.56 gamma=90.00
Space group C2/c (No. 15)
Asymmetric unit:
1 Na 0.0000 0.0741 0.2500 x4
2 Na 0.0000 0.3950 0.2500 x4
3 Zr 0.2500 0.2500 0.5000 x4
4 Si 0.0507 0.2169 0.9294 x8
5 Si 0.2341 0.4309 0.8607 x8
6 O 0.0000 0.1599 0.7500 x4
7 O 0.0536 0.2293 0.4623 x8
8 O 0.1128 0.3628 0.9184 x8
9 O 0.1447 0.0980 0.0008 x8
10 O 0.2092 0.4125 0.3465 x8
11 O 0.2408 0.1328 0.3023 x8

Theoretical XRD peak list
Compound: NaSmO2
Radiation: copper Kα
Structure: a cell relaxed with PBE

The 8 most intense peaks (10 to 80 degrees two-theta), most intense first:
(1 0 1), 15.66°, 5.659 Å, I = 100.0; (2 0 2), 31.62°, 2.830 Å, I = 83.6; (2 2 0), 36.57°, 2.457 Å, I = 60.5; (2 2 4), 52.91°, 1.730 Å, I = 39.4; (2 1 1), 30.18°, 2.961 Å, I = 35.4; (0 0 4), 36.88°, 2.437 Å, I = 29.6; (4 2 2), 62.75°, 1.481 Å, I = 26.3; (4 0 0), 52.68°, 1.738 Å, I = 19.9

Structural model:
Unit cell a=6.9505 b=6.9505 c=9.7484 alpha=90.00 beta=90.00 gamma=90.00
Space group I4_1/amd (No. 141, origin choice 2)
Asymmetric unit:
1 Na 0.0000 0.0000 0.0000 x8
2 Sm 0.0000 0.0000 0.5000 x8
3 O 0.0000 0.0219 0.2594 x16

Theoretical XRD peak list
Compound: NaTa2O4
Radiation: copper Kα
Structure: a cell relaxed with PBE

The 8 most intense peaks (10 to 80 degrees two-theta), most intense first:
(1 1 1), 17.28°, 5.133 Å, I = 100.0; (3 1 1), 33.43°, 2.680 Å, I = 77.5; (2 2 2), 34.96°, 2.566 Å, I = 52.7; (4 0 0), 40.59°, 2.222 Å, I = 47.5; (4 4 0), 58.75°, 1.572 Å, I = 38.4; (5 1 1), 53.56°, 1.711 Å, I = 30.2; (6 2 2), 70.23°, 1.340 Å, I = 24.7; (3 3 1), 44.42°, 2.039 Å, I = 21.4

Structural model:
Unit cell a=8.8899 b=8.8899 c=8.8899 alpha=90.00 beta=90.00 gamma=90.00
Space group Fd-3m (No. 227, origin choice 2)
Asymmetric unit:
1 Na 0.1250 0.1250 0.1250 x8
2 Ta 0.0000 0.0000 0.5000 x16
3 O 0.0130 0.0130 0.7370 x32

Theoretical XRD peak list
Compound: Na4Ta4O11
Radiation: copper Kα
Structure: a cell relaxed with PBE

The 8 most intense peaks (10 to 80 degrees two-theta), most intense first:
(0 0 2), 22.82°, 3.898 Å, I = 100.0; (0 2 0), 32.48°, 2.757 Å, I = 79.3; (1 1 0), 23.03°, 3.862 Å, I = 54.7; (1 1 2), 32.65°, 2.743 Å, I = 54.5; (0 0 4), 46.61°, 1.949 Å, I = 30.7; (2 0 0), 32.80°, 2.731 Å, I = 26.6; (2 0 4), 58.16°, 1.586 Å, I = 21.9; (-1 1 4), 52.50°, 1.743 Å, I = 21.8

Structural model:
Unit cell a=5.4616 b=5.5170 c=7.7899 alpha=90.04 beta=90.03 gamma=90.56
Space group P1 (No. 1)
Asymmetric unit:
1 Na 0.0000 0.0000 0.0000 x1
2 Na 0.0056 0.9562 0.4971 x1
3 Na 0.4947 0.4480 0.4902 x1
4 Na 0.5043 0.4973 0.9973 x1
5 Ta 0.9999 0.4742 0.2490 x1
6 Ta 0.0018 0.4797 0.7475 x1
7 Ta 0.4989 0.9757 0.7450 x1
8 Ta 0.5045 0.9768 0.2483 x1
9 O 0.0612 0.4513 0.9947 x1
10 O 0.2116 0.1864 0.2826 x1
11 O 0.2289 0.1933 0.7115 x1
12 O 0.2918 0.6874 0.2777 x1
13 O 0.2997 0.6797 0.7073 x1
14 O 0.4437 0.9733 0.9938 x1
15 O 0.5773 0.9939 0.4978 x1
16 O 0.7074 0.2699 0.2118 x1
17 O 0.7855 0.7490 0.7857 x1
18 O 0.7940 0.7667 0.2146 x1
19 O 0.9297 0.4830 0.4991 x1

Theoretical XRD peak list
Compound: Na4Ta4O11
Radiation: copper Kα
Structure: a cell relaxed with PBE

The 8 most intense peaks (10 to 80 degrees two-theta), most intense first:
(1 2 1), 32.64°, 2.744 Å, I = 100.0; (1 0 -1), 22.84°, 3.893 Å, I = 91.5; (0 2 0), 22.99°, 3.868 Å, I = 50.0; (3 2 1), 58.38°, 1.581 Å, I = 31.8; (1 4 1), 52.85°, 1.732 Å, I = 28.7; (2 0 -2), 46.66°, 1.946 Å, I = 27.9; (0 0 2), 32.32°, 2.770 Å, I = 24.1; (2 0 0), 32.73°, 2.736 Å, I = 22.4

Structural model:
Unit cell a=5.4726 b=7.7357 c=5.5390 alpha=90.00 beta=90.06 gamma=90.00
Space group Pm (No. 6)
Asymmetric unit:
1 Na 0.0000 0.0000 0.0000 x1
2 Na 0.0075 0.5000 0.9534 x1
3 Na 0.4921 0.5000 0.4519 x1
4 Na 0.5028 0.0000 0.5023 x1
5 Ta 0.0015 0.2491 0.4765 x2
6 Ta 0.5067 0.2464 0.9767 x2
7 O 0.2121 0.2758 0.1940 x2
8 O 0.2876 0.2769 0.6862 x2
9 O 0.4264 0.0000 0.9606 x1
10 O 0.5631 0.5000 0.9908 x1
11 O 0.7170 0.2080 0.2625 x2
12 O 0.7904 0.2103 0.7633 x2
13 O 0.9220 0.5000 0.4942 x1

Theoretical XRD peak list
Compound: NaTcO3
Radiation: copper Kα
Structure: a cell relaxed with PBE

The 8 most intense peaks (10 to 80 degrees two-theta), most intense first:
(0 0 3), 17.87°, 4.964 Å, I = 100.0; (1 1 0), 33.42°, 2.681 Å, I = 74.9; (2 -1 6), 50.08°, 1.821 Å, I = 69.9; (2 -1 3), 38.15°, 2.359 Å, I = 66.6; (1 0 4), 30.78°, 2.905 Å, I = 62.4; (0 1 2), 22.57°, 3.940 Å, I = 58.2; (1 0 1), 20.03°, 4.433 Å, I = 55.4; (3 0 0), 59.75°, 1.548 Å, I = 29.0

Structural model:
Unit cell a=5.3617 b=5.3617 c=14.8916 alpha=90.00 beta=90.00 gamma=120.00
Space group R-3 (No. 148, hexagonal axes)
Asymmetric unit:
1 Na 0.0000 0.0000 0.1355 x6
2 Tc 0.0000 0.0000 0.3395 x6
3 O 0.0084 0.6135 0.9299 x18